Record 1
Theoretical XRD peak list
Compound: TlBi3Pd4
Radiation: λ = 1.5418 Å (Cu Kα)
Structure: DFT lattice parameters and positions (PBE)
Intensities are scaled so that the largest is 1000.

Largest 10 diffraction maxima, most intense first, 10 to 80 degrees two-theta:
- 2θ 35.3, I = 1000
- 2θ 29.9, I = 817
- 2θ 42.7, I = 797
- 2θ 34.3, I = 632
- 2θ 27.3, I = 587
- 2θ 34.8, I = 512
- 2θ 46.8, I = 321
- 2θ 30.6, I = 312
- 2θ 46.1, I = 299
- 2θ 72.5, I = 264

Atomic structure:
a b c (Å): 6.695 6.695 6.695
angles (deg): 126.93 77.23 128.33
Sites, in units of the cell vectors:
1 Tl 0.000 0.000 0.000
2 Bi 0.195 0.695 0.500
3 Bi 0.233 0.445 0.787
4 Bi 0.658 0.445 0.213
5 Pd 0.234 0.965 0.269
6 Pd 0.593 0.341 0.749
7 Pd 0.593 0.844 0.251
8 Pd 0.696 0.965 0.731

Record 2
Theoretical XRD peak list
Compound: Tl3BiPd7
Radiation: λ = 1.5418 Å (Cu Kα)
Structure: DFT lattice parameters and positions (PBE)
Intensities are scaled so that the largest is 1000.

Largest 10 diffraction maxima, most intense first, 10 to 80 degrees two-theta:
- 2θ 38.2, I = 1000
- 2θ 36.8, I = 765
- 2θ 33.1, I = 662
- 2θ 28.4, I = 518
- 2θ 44.6, I = 445
- 2θ 21.7, I = 373
- 2θ 50.3, I = 369
- 2θ 35.3, I = 250
- 2θ 40.0, I = 199
- 2θ 67.2, I = 191

Atomic structure:
a b c (Å): 6.619 6.619 5.565
angles (deg): 105.95 105.95 95.07
Sites, in units of the cell vectors:
1 Tl 0.000 0.000 0.000
2 Tl 0.222 0.778 0.500
3 Tl 0.778 0.222 0.500
4 Bi 0.500 0.500 0.000
5 Pd 0.070 0.583 0.818
6 Pd 0.203 0.203 0.535
7 Pd 0.417 0.930 0.182
8 Pd 0.500 0.500 0.500
9 Pd 0.583 0.070 0.818
10 Pd 0.797 0.797 0.465
11 Pd 0.930 0.417 0.182

Record 3
Theoretical XRD peak list
Compound: TlBi2Pd3
Radiation: λ = 1.5418 Å (Cu Kα)
Structure: DFT lattice parameters and positions (PBE)
Intensities are scaled so that the largest is 1000.

Largest 10 diffraction maxima, most intense first, 10 to 80 degrees two-theta:
- 2θ 36.5, I = 1000
- 2θ 32.0, I = 952
- 2θ 35.4, I = 780
- 2θ 28.2, I = 575
- 2θ 36.7, I = 368
- 2θ 42.0, I = 363
- 2θ 66.7, I = 357
- 2θ 38.5, I = 349
- 2θ 40.0, I = 339
- 2θ 31.5, I = 336

Atomic structure:
a b c (Å): 7.502 7.502 13.604
angles (deg): 90.00 90.00 136.26
Sites, in units of the cell vectors:
1 Tl 0.239 0.761 0.829
2 Tl 0.261 0.739 0.329
3 Tl 0.739 0.261 0.671
4 Tl 0.761 0.239 0.171
5 Bi 0.071 0.929 0.660
6 Bi 0.158 0.842 0.071
7 Bi 0.342 0.658 0.571
8 Bi 0.429 0.571 0.160
9 Bi 0.571 0.429 0.840
10 Bi 0.658 0.342 0.429
11 Bi 0.842 0.158 0.929
12 Bi 0.929 0.071 0.340
13 Pd 0.042 0.958 0.898
14 Pd 0.095 0.905 0.454
15 Pd 0.161 0.339 0.750
16 Pd 0.339 0.161 0.250
17 Pd 0.405 0.595 0.954
18 Pd 0.458 0.542 0.398
19 Pd 0.542 0.458 0.602
20 Pd 0.595 0.405 0.046
21 Pd 0.661 0.839 0.750
22 Pd 0.839 0.661 0.250
23 Pd 0.905 0.095 0.546
24 Pd 0.958 0.042 0.102

Record 4
Theoretical XRD peak list
Compound: Tl4Bi2Pd9
Radiation: λ = 1.5418 Å (Cu Kα)
Structure: DFT lattice parameters and positions (PBE)
Intensities are scaled so that the largest is 1000.

Largest 10 diffraction maxima, most intense first, 10 to 80 degrees two-theta:
- 2θ 39.2, I = 1000
- 2θ 39.5, I = 631
- 2θ 27.5, I = 453
- 2θ 35.1, I = 294
- 2θ 71.2, I = 221
- 2θ 56.9, I = 217
- 2θ 71.1, I = 174
- 2θ 51.6, I = 144
- 2θ 65.8, I = 121
- 2θ 48.6, I = 102

Atomic structure:
a b c (Å): 4.595 4.595 16.717
angles (deg): 90.00 90.00 120.00
Sites, in units of the cell vectors:
1 Tl 0.333 0.667 0.102
2 Tl 0.333 0.667 0.400
3 Tl 0.667 0.333 0.600
4 Tl 0.667 0.333 0.898
5 Bi 0.333 0.667 0.754
6 Bi 0.667 0.333 0.246
7 Pd 0.000 0.000 0.161
8 Pd 0.000 0.000 0.331
9 Pd 0.000 0.000 0.500
10 Pd 0.000 0.000 0.669
11 Pd 0.000 0.000 0.839
12 Pd 0.333 0.667 0.573
13 Pd 0.333 0.667 0.937
14 Pd 0.667 0.333 0.063
15 Pd 0.667 0.333 0.427

Record 5
Theoretical XRD peak list
Compound: TmBi4Pd15
Radiation: λ = 1.5418 Å (Cu Kα)
Structure: DFT lattice parameters and positions (PBE)
Intensities are scaled so that the largest is 1000.

Largest 10 diffraction maxima, most intense first, 10 to 80 degrees two-theta:
- 2θ 37.7, I = 1000
- 2θ 43.8, I = 491
- 2θ 76.5, I = 377
- 2θ 63.7, I = 320
- 2θ 21.5, I = 86
- 2θ 30.6, I = 76
- 2θ 49.3, I = 44
- 2θ 54.4, I = 34
- 2θ 68.1, I = 21
- 2θ 72.3, I = 11

Atomic structure:
a b c (Å): 4.132 4.132 20.630
angles (deg): 90.00 90.00 90.00
Sites, in units of the cell vectors:
1 Tm 0.000 0.000 0.000
2 Bi 0.000 0.000 0.197
3 Bi 0.000 0.000 0.399
4 Bi 0.000 0.000 0.601
5 Bi 0.000 0.000 0.803
6 Pd 0.000 0.500 0.098
7 Pd 0.000 0.500 0.299
8 Pd 0.000 0.500 0.500
9 Pd 0.000 0.500 0.701
10 Pd 0.000 0.500 0.902
11 Pd 0.500 0.000 0.098
12 Pd 0.500 0.000 0.299
13 Pd 0.500 0.000 0.500
14 Pd 0.500 0.000 0.701
15 Pd 0.500 0.000 0.902
16 Pd 0.500 0.500 0.000
17 Pd 0.500 0.500 0.201
18 Pd 0.500 0.500 0.399
19 Pd 0.500 0.500 0.601
20 Pd 0.500 0.500 0.799

Record 6
Theoretical XRD peak list
Compound: Tm8BiPd2
Radiation: λ = 1.5418 Å (Cu Kα)
Structure: DFT lattice parameters and positions (PBE)
Intensities are scaled so that the largest is 1000.

Largest 10 diffraction maxima, most intense first, 10 to 80 degrees two-theta:
- 2θ 31.8, I = 1000
- 2θ 34.5, I = 974
- 2θ 32.9, I = 799
- 2θ 30.4, I = 739
- 2θ 38.2, I = 681
- 2θ 33.3, I = 674
- 2θ 64.6, I = 298
- 2θ 53.1, I = 279
- 2θ 45.4, I = 278
- 2θ 26.6, I = 258

Atomic structure:
a b c (Å): 7.919 7.919 5.513
angles (deg): 98.18 98.18 113.67
Sites, in units of the cell vectors:
1 Tm 0.082 0.335 0.590
2 Tm 0.247 0.753 0.000
3 Tm 0.335 0.082 0.590
4 Tm 0.399 0.399 0.200
5 Tm 0.601 0.601 0.800
6 Tm 0.665 0.918 0.410
7 Tm 0.753 0.247 0.000
8 Tm 0.918 0.665 0.410
9 Bi 0.000 0.000 0.000
10 Pd 0.303 0.697 0.500
11 Pd 0.697 0.303 0.500

Record 7
Theoretical XRD peak list
Compound: Tm7Bi2Pd2
Radiation: λ = 1.5418 Å (Cu Kα)
Structure: DFT lattice parameters and positions (PBE)
Intensities are scaled so that the largest is 1000.

Largest 10 diffraction maxima, most intense first, 10 to 80 degrees two-theta:
- 2θ 33.6, I = 1000
- 2θ 32.3, I = 681
- 2θ 34.0, I = 554
- 2θ 29.9, I = 430
- 2θ 46.7, I = 299
- 2θ 57.9, I = 263
- 2θ 35.9, I = 243
- 2θ 37.7, I = 236
- 2θ 50.3, I = 227
- 2θ 64.4, I = 189

Atomic structure:
a b c (Å): 9.490 9.490 9.490
angles (deg): 156.34 67.47 117.86
Sites, in units of the cell vectors:
1 Tm 0.000 0.000 0.000
2 Tm 0.297 0.424 0.873
3 Tm 0.318 0.633 0.685
4 Tm 0.550 0.424 0.127
5 Tm 0.632 0.279 0.352
6 Tm 0.927 0.279 0.648
7 Tm 0.948 0.633 0.315
8 Bi 0.262 0.762 0.500
9 Bi 0.669 0.669 0.000
10 Pd 0.177 0.939 0.239
11 Pd 0.700 0.939 0.761

Record 8
Theoretical XRD peak list
Compound: Tm4BiPd15
Radiation: λ = 1.5418 Å (Cu Kα)
Structure: DFT lattice parameters and positions (PBE)
Intensities are scaled so that the largest is 1000.

Largest 10 diffraction maxima, most intense first, 10 to 80 degrees two-theta:
- 2θ 38.0, I = 1000
- 2θ 44.2, I = 489
- 2θ 64.2, I = 316
- 2θ 77.1, I = 248
- 2θ 77.0, I = 123
- 2θ 21.7, I = 53
- 2θ 30.8, I = 46
- 2θ 49.7, I = 26
- 2θ 54.8, I = 20
- 2θ 68.6, I = 8

Atomic structure:
a b c (Å): 4.100 4.100 20.532
angles (deg): 90.00 90.00 90.00
Sites, in units of the cell vectors:
1 Tm 0.000 0.000 0.099
2 Tm 0.000 0.000 0.297
3 Tm 0.000 0.000 0.703
4 Tm 0.000 0.000 0.901
5 Bi 0.000 0.000 0.500
6 Pd 0.000 0.500 0.000
7 Pd 0.000 0.500 0.200
8 Pd 0.000 0.500 0.399
9 Pd 0.000 0.500 0.601
10 Pd 0.000 0.500 0.800
11 Pd 0.500 0.000 0.000
12 Pd 0.500 0.000 0.200
13 Pd 0.500 0.000 0.399
14 Pd 0.500 0.000 0.601
15 Pd 0.500 0.000 0.800
16 Pd 0.500 0.500 0.100
17 Pd 0.500 0.500 0.301
18 Pd 0.500 0.500 0.500
19 Pd 0.500 0.500 0.699
20 Pd 0.500 0.500 0.900

Record 9
Theoretical XRD peak list
Compound: TmBiPd4
Radiation: λ = 1.5418 Å (Cu Kα)
Structure: DFT lattice parameters and positions (PBE)
Intensities are scaled so that the largest is 1000.

Largest 10 diffraction maxima, most intense first, 10 to 80 degrees two-theta:
- 2θ 39.0, I = 1000
- 2θ 40.1, I = 927
- 2θ 36.0, I = 627
- 2θ 36.1, I = 621
- 2θ 74.1, I = 304
- 2θ 50.1, I = 244
- 2θ 66.1, I = 221
- 2θ 66.0, I = 213
- 2θ 53.6, I = 200
- 2θ 68.2, I = 193

Atomic structure:
a b c (Å): 5.122 5.122 5.003
angles (deg): 91.73 91.73 121.73
Sites, in units of the cell vectors:
1 Tm 0.000 0.000 0.000
2 Bi 0.500 0.500 0.500
3 Pd 0.167 0.833 0.500
4 Pd 0.333 0.667 0.000
5 Pd 0.667 0.333 0.000
6 Pd 0.833 0.167 0.500

Record 10
Theoretical XRD peak list
Compound: VBi4Pd15
Radiation: λ = 1.5418 Å (Cu Kα)
Structure: DFT lattice parameters and positions (PBE)
Intensities are scaled so that the largest is 1000.

Largest 10 diffraction maxima, most intense first, 10 to 80 degrees two-theta:
- 2θ 38.1, I = 1000
- 2θ 44.3, I = 339
- 2θ 77.4, I = 250
- 2θ 64.3, I = 188
- 2θ 44.1, I = 145
- 2θ 64.5, I = 110
- 2θ 77.1, I = 90
- 2θ 21.7, I = 55
- 2θ 30.9, I = 46
- 2θ 35.7, I = 36

Atomic structure:
a b c (Å): 4.087 4.087 20.527
angles (deg): 90.00 90.00 90.00
Sites, in units of the cell vectors:
1 V 0.000 0.000 0.000
2 Bi 0.000 0.000 0.192
3 Bi 0.000 0.000 0.397
4 Bi 0.000 0.000 0.603
5 Bi 0.000 0.000 0.808
6 Pd 0.000 0.500 0.089
7 Pd 0.000 0.500 0.296
8 Pd 0.000 0.500 0.500
9 Pd 0.000 0.500 0.704
10 Pd 0.000 0.500 0.911
11 Pd 0.500 0.000 0.089
12 Pd 0.500 0.000 0.296
13 Pd 0.500 0.000 0.500
14 Pd 0.500 0.000 0.704
15 Pd 0.500 0.000 0.911
16 Pd 0.500 0.500 0.000
17 Pd 0.500 0.500 0.194
18 Pd 0.500 0.500 0.398
19 Pd 0.500 0.500 0.602
20 Pd 0.500 0.500 0.806

Record 11
Theoretical XRD peak list
Compound: YBi2Pd7
Radiation: λ = 1.5418 Å (Cu Kα)
Structure: DFT lattice parameters and positions (PBE)
Intensities are scaled so that the largest is 1000.

Largest 10 diffraction maxima, most intense first, 10 to 80 degrees two-theta:
- 2θ 38.5, I = 1000
- 2θ 44.3, I = 341
- 2θ 24.5, I = 317
- 2θ 77.6, I = 257
- 2θ 65.6, I = 200
- 2θ 45.8, I = 148
- 2θ 22.0, I = 127
- 2θ 64.4, I = 111
- 2θ 79.8, I = 110
- 2θ 51.2, I = 90

Atomic structure:
a b c (Å): 12.245 12.245 12.245
angles (deg): 160.77 160.77 27.33
Sites, in units of the cell vectors:
1 Y 0.000 0.000 0.000
2 Bi 0.332 0.332 0.000
3 Bi 0.668 0.668 0.000
4 Pd 0.088 0.588 0.500
5 Pd 0.250 0.750 0.500
6 Pd 0.412 0.912 0.500
7 Pd 0.500 0.500 0.000
8 Pd 0.588 0.088 0.500
9 Pd 0.750 0.250 0.500
10 Pd 0.912 0.412 0.500

Record 12
Theoretical XRD peak list
Compound: ZnBiPd4
Radiation: λ = 1.5418 Å (Cu Kα)
Structure: DFT lattice parameters and positions (PBE)
Intensities are scaled so that the largest is 1000.

Largest 10 diffraction maxima, most intense first, 10 to 80 degrees two-theta:
- 2θ 39.6, I = 1000
- 2θ 42.4, I = 400
- 2θ 45.6, I = 307
- 2θ 38.3, I = 300
- 2θ 37.4, I = 295
- 2θ 37.7, I = 258
- 2θ 36.6, I = 256
- 2θ 39.1, I = 208
- 2θ 75.6, I = 135
- 2θ 21.5, I = 130

Atomic structure:
a b c (Å): 5.243 8.079 5.141
angles (deg): 90.00 110.56 90.00
Sites, in units of the cell vectors:
1 Zn 0.000 0.000 0.000
2 Zn 0.000 0.500 0.500
3 Bi 0.500 0.000 0.500
4 Bi 0.500 0.500 0.000
5 Pd 0.083 0.169 0.592
6 Pd 0.083 0.331 0.092
7 Pd 0.400 0.661 0.429
8 Pd 0.400 0.839 0.929
9 Pd 0.600 0.161 0.071
10 Pd 0.600 0.339 0.571
11 Pd 0.917 0.669 0.908
12 Pd 0.917 0.831 0.408